Starting from a crystal structure in Alexandria, relaxed with PBE, the powder diffraction line list of Ba2B2O5 was calculated for copper Kα.
Intensities are scaled so that the largest is 100.

Top 6 peaks for 10° ≤ 2θ ≤ 90°, low angle first:
2θ (°)	d/Å	I_rel	hkl
17.9	4.950	46	1 0 2
25.1	3.542	45	1 1 -2
25.5	3.494	39	3 0 -2
26.9	3.310	100	2 1 0
27.5	3.238	71	0 0 4
28.2	3.169	39	2 0 -4

Structure:
a = 10.880 Å, b = 4.271 Å, c = 13.482 Å
α = 90.00°, β = 105.70°, γ = 90.00°
Space group P2_1/c (No. 14)
One atom of each set of equivalent atoms:
1 Ba 0.080 0.222 0.411
2 Ba 0.398 0.748 0.862
3 B 0.201 0.168 0.184
4 B 0.324 0.665 0.572
5 O 0.086 0.213 0.113
6 O 0.227 0.717 0.484
7 O 0.229 0.241 0.785
8 O 0.305 0.002 0.159
9 O 0.447 0.746 0.080

***

Starting from a crystal structure in Alexandria, relaxed with PBE, the powder diffraction line list of Sm2VB10 was calculated for copper Kα.
Intensities are scaled so that the largest is 100.

Top 6 peaks for 10° ≤ 2θ ≤ 90°, low angle first:
2θ (°)	d/Å	I_rel	hkl
21.2	4.182	30	0 0 1
21.9	4.062	69	1 2 0
30.7	2.914	100	1 2 1
37.9	2.371	34	2 0 1
38.1	2.364	42	0 4 1
49.0	1.859	27	1 2 2

Structure:
a = 5.757 Å, b = 11.466 Å, c = 4.182 Å
α = 90.00°, β = 90.00°, γ = 90.00°
Space group Pbam (No. 55)
One atom of each set of equivalent atoms:
1 Sm 0.202 0.139 0.000
2 V 0.000 0.500 0.500
3 B 0.058 0.308 0.500
4 B 0.120 0.958 0.500
5 B 0.135 0.802 0.500
6 B 0.222 0.382 0.200

***

Starting from a crystal structure in Alexandria, relaxed with PBE, the powder diffraction line list of TeAuBr8 was calculated for copper Kα.
Intensities are scaled so that the largest is 100.

Top 6 peaks for 10° ≤ 2θ ≤ 90°, low angle first:
2θ (°)	d/Å	I_rel	hkl
13.6	6.511	65	1 -1 0
14.4	6.145	71	-1 1 1
19.6	4.527	41	1 1 1
24.1	3.687	100	1 -1 2
26.0	3.427	57	2 1 -2
35.3	2.543	37	3 0 -3

Structure:
a = 8.540 Å, b = 9.330 Å, c = 10.934 Å
α = 90.90°, β = 108.18°, γ = 96.96°
Space group P-1 (No. 2)
One atom of each set of equivalent atoms:
1 Te 0.146 0.248 0.285
2 Au 0.496 0.611 0.318
3 Br 0.061 0.683 0.921
4 Br 0.071 0.798 0.600
5 Br 0.145 0.988 0.208
6 Br 0.244 0.563 0.388
7 Br 0.269 0.327 0.764
8 Br 0.416 0.167 0.535
9 Br 0.422 0.384 0.179
10 Br 0.436 0.093 0.937

***

Starting from a crystal structure in Alexandria, relaxed with PBE, the powder diffraction line list of Cs2NdCu3F12 was calculated for copper Kα.
Intensities are scaled so that the largest is 100.

Top 6 peaks for 10° ≤ 2θ ≤ 90°, low angle first:
2θ (°)	d/Å	I_rel	hkl
23.3	3.812	51	1 1 0
27.5	3.246	43	0 2 1
27.8	3.211	100	1 1 3
28.4	3.145	77	0 1 5
28.8	3.097	54	2 0 2
47.7	1.906	55	2 2 0

Structure:
a = 7.6238 Å, b = 7.6238 Å, c = 17.8841 Å
α = 90.00°, β = 90.00°, γ = 120.00°
Space group R-3m (No. 166, hexagonal axes)
One atom of each set of equivalent atoms:
1 Cs 0.0000 0.0000 0.1106
2 Nd 0.0000 0.0000 0.5000
3 Cu 0.0000 0.5000 0.0000
4 F 0.0154 0.5077 0.1105
5 F 0.0824 0.5412 0.3308

***

Starting from a crystal structure in Alexandria, relaxed with PBE, the powder diffraction line list of SrIn12Au4 was calculated for copper Kα.
Intensities are scaled so that the largest is 100.

Top 6 peaks for 10° ≤ 2θ ≤ 90°, low angle first:
2θ (°)	d/Å	I_rel	hkl
18.1	4.909	37	0 2 1
25.7	3.471	37	2 0 2
28.8	3.105	100	1 2 2
34.2	2.624	37	4 1 0
41.1	2.196	72	6 -4 1
45.2	2.005	48	4 2 2

Structure:
a = 13.9005 Å, b = 13.9005 Å, c = 8.4854 Å
α = 90.00°, β = 90.00°, γ = 120.00°
Space group R-3 (No. 148, hexagonal axes)
One atom of each set of equivalent atoms:
1 Sr 0.0000 0.0000 0.0000
2 In 0.0120 0.1792 0.3343
3 In 0.0508 0.6032 0.7945
4 Au 0.0000 0.0000 0.5000
5 Au 0.0000 0.5000 0.5000

***

Starting from a crystal structure in Alexandria, relaxed with PBE, the powder diffraction line list of Tb4Pb was calculated for copper Kα.
Intensities are scaled so that the largest is 100.

Top 6 peaks for 10° ≤ 2θ ≤ 90°, low angle first:
2θ (°)	d/Å	I_rel	hkl
15.2	5.820	31	1 0 0
21.6	4.115	28	1 1 0
26.5	3.360	51	1 1 1
30.7	2.910	100	2 0 0
44.0	2.058	75	2 2 0
72.7	1.301	35	4 2 0

Structure:
a = 5.820 Å, b = 5.820 Å, c = 5.820 Å
α = 90.00°, β = 90.00°, γ = 90.00°
Space group Pm-3m (No. 221)
One atom of each set of equivalent atoms:
1 Tb 0.000 0.000 0.000
2 Tb 0.000 0.500 0.500
3 Pb 0.500 0.500 0.500